The following is a theoretical XRD peak list of Pm6CdPb3. It was derived from the PBE geometry in Alexandria, using copper Kα.
Lines closer than 0.1° are merged.

Crystal structure
```
data_Pm6CdPb3
_chemical_formula_sum 'Pm24 Cd4 Pb12'
_cell_length_a 11.6065
_cell_length_b 11.6065
_cell_length_c 11.6065
_cell_angle_alpha 90.00
_cell_angle_beta 90.00
_cell_angle_gamma 90.00
_symmetry_space_group_name_H-M 'F m -3 m'
_symmetry_Int_Tables_number 225
_symmetry_space_group_name_Hall '-F 4 2 3'
loop_
_atom_site_label
_atom_site_type_symbol
_atom_site_fract_x
_atom_site_fract_y
_atom_site_fract_z
Pm1 Pm 0.0000 0.0000 0.2456
Cd1 Cd 0.0000 0.0000 0.0000
Pb1 Pb 0.0000 0.0000 0.5000
Pb2 Pb 0.2500 0.2500 0.2500
```

Most intense lines, 2θ = 10–90°, sorted by position:
2θ (°), I/Imax
21.7, 34.0
26.6, 70.5
30.8, 100.0
38.0, 16.9
44.1, 75.1
52.3, 33.3
54.8, 26.5
64.2, 12.3
70.8, 13.4
72.9, 34.1
81.2, 25.8
87.3, 10.6

***

The following is a theoretical XRD peak list of Cs5PO4F2. It was derived from the PBE geometry in Alexandria, using copper Kα.
Lines closer than 0.1° are merged.

Crystal structure
```
data_Cs5PO4F2
_chemical_formula_sum 'Cs10 P2 O8 F4'
_cell_length_a 8.3757
_cell_length_b 10.4152
_cell_length_c 7.0085
_cell_angle_alpha 90.00
_cell_angle_beta 90.00
_cell_angle_gamma 90.00
_symmetry_space_group_name_H-M 'A m m 2'
_symmetry_Int_Tables_number 38
_symmetry_space_group_name_Hall 'A 2 -2'
loop_
_atom_site_label
_atom_site_type_symbol
_atom_site_fract_x
_atom_site_fract_y
_atom_site_fract_z
Cs1 Cs 0.0000 0.0000 0.0000
Cs2 Cs 0.2722 0.1849 0.4838
P1 P 0.5000 0.0000 0.9764
O1 O 0.3472 0.0000 0.1077
O2 O 0.5000 0.1228 0.8459
F1 F 0.0000 0.2326 0.7395
```

Most intense lines, 2θ = 10–90°, sorted by position:
2θ (°), I/Imax
21.2, 17.7
25.4, 62.1
26.2, 78.0
27.3, 52.8
28.7, 100.0
33.3, 23.0
36.0, 27.8
37.7, 62.7
46.9, 23.8
50.6, 31.1
52.7, 30.7
63.9, 19.7